Starting from the PBE+U geometry in Alexandria, the powder X-ray diffraction pattern of Ni2Ag3O4 was simulated for Cu Ka.
Neutral-atom scattering factors, no anomalous dispersion.

Main lines, sorted by position (2θ = 10–90°):
| h k l | two_theta | I_rel |
| --- | --- | --- |
| 0 0 10 | 31.93 | 27 |
| 1 0 0 | 34.40 | 23 |
| 1 0 5 | 38.06 | 100 |
| 1 0 7 | 41.32 | 10 |
| 0 0 14 | 45.33 | 10 |
| 1 0 10 | 47.63 | 20 |
| 1 0 15 | 61.00 | 16 |
| 1 1 0 | 61.61 | 22 |
| 1 1 10 | 71.09 | 15 |
| 2 0 5 | 74.77 | 13 |

Lattice parameters (Å, degrees): 3.0106 3.0106 28.0307 90.00 90.00 120.00
Fractional positions:
Ni 0.3333 0.6667 0.1407
Ni 0.3333 0.6667 0.3593
Ni 0.6667 0.3333 0.6407
Ni 0.6667 0.3333 0.8593
Ag 0.3333 0.6667 0.5405
Ag 0.3333 0.6667 0.7500
Ag 0.3333 0.6667 0.9595
Ag 0.6667 0.3333 0.0405
Ag 0.6667 0.3333 0.2500
Ag 0.6667 0.3333 0.4595
O 0.0000 0.0000 0.1016
O 0.0000 0.0000 0.3984
O 0.0000 0.0000 0.6016
O 0.0000 0.0000 0.8984
O 0.3333 0.6667 0.6764
O 0.3333 0.6667 0.8236
O 0.6667 0.3333 0.1764
O 0.6667 0.3333 0.3236